Theoretical powder X-ray diffraction pattern of Sm3Tl4 for λ = 1.5418 Å (Cu Kα), from a cell relaxed with GGA-PBE.
Neutral-atom scattering factors, no anomalous dispersion.

The 8 most intense peaks (2θ from 10° to 90°), by angle:
2θ/deg	I/Imax
29.00	9
32.73	100
32.99	89
33.98	8
37.50	10
47.16	27
58.43	13
58.59	23

Structural model:
a = 8.645 Å, b = 8.645 Å, c = 8.645 Å
α = 113.71°, β = 113.71°, γ = 113.71°
Element x y z (fractional)
Sm 0.006 0.394 0.270
Sm 0.270 0.006 0.394
Sm 0.394 0.270 0.006
Sm 0.606 0.730 0.994
Sm 0.730 0.994 0.606
Sm 0.994 0.606 0.730
Tl 0.000 0.000 0.000
Tl 0.094 0.246 0.560
Tl 0.246 0.560 0.094
Tl 0.440 0.906 0.754
Tl 0.500 0.500 0.500
Tl 0.560 0.094 0.246
Tl 0.754 0.440 0.906
Tl 0.906 0.754 0.440